Calculated X-ray powder pattern
Compound: NaNi3Ge2
Radiation: λ = 1.5418 Å (Cu Kα)
Structure: DFT lattice parameters and positions (GGA-PBE)

Top 10 peaks for 5° ≤ 2θ ≤ 70°, in order of rising 2θ:
(hkl)	Position (°2θ)	d (Å)	intensity
1 0 0	19.6	4.521	86
1 1 0	34.4	2.610	19
2 0 0	39.9	2.261	21
1 1 1	42.2	2.143	100
2 0 1	46.9	1.937	76
0 0 2	48.5	1.878	26
1 0 2	52.8	1.734	12
2 1 0	53.6	1.709	11
2 0 2	64.5	1.444	9
3 0 1	66.9	1.399	24

Structural model:
abc: 5.2206 5.2206 3.7558
angles: 90.00 90.00 120.00
Space group P6mm (No. 183)
Asymmetric unit:
Na (0.0000, 0.0000, 0.0000) x1
Ni (0.0000, 0.5000, 0.4985) x3
Ge (0.3333, 0.6667, 0.9985) x2